The following is a computed XRD peak list of Ac3Mg6Sn5. It was derived from the PBE geometry in Alexandria, using Cu Kα (weighted mean of Kα1 and Kα2).
No peak broadening, texture or thermal motion is included.

Crystal structure
Unit cell a=4.725 b=14.382 c=11.576 alpha=90.00 beta=90.00 gamma=90.00
Atoms (fractional coordinates):
Ac: 0.250 0.081 0.249
Ac: 0.250 0.419 0.249
Ac: 0.250 0.750 0.240
Ac: 0.750 0.250 0.760
Ac: 0.750 0.581 0.751
Ac: 0.750 0.919 0.751
Mg: 0.250 0.073 0.897
Mg: 0.250 0.250 0.022
Mg: 0.250 0.250 0.496
Mg: 0.250 0.427 0.897
Mg: 0.250 0.588 0.503
Mg: 0.250 0.912 0.503
Mg: 0.750 0.088 0.497
Mg: 0.750 0.412 0.497
Mg: 0.750 0.573 0.103
Mg: 0.750 0.750 0.504
Mg: 0.750 0.750 0.978
Mg: 0.750 0.927 0.103
Sn: 0.250 0.085 0.649
Sn: 0.250 0.415 0.649
Sn: 0.250 0.622 0.972
Sn: 0.250 0.750 0.669
Sn: 0.250 0.878 0.972
Sn: 0.750 0.122 0.028
Sn: 0.750 0.250 0.331
Sn: 0.750 0.378 0.028
Sn: 0.750 0.585 0.351
Sn: 0.750 0.915 0.351

Principal peaks in the range 5 to 70 degrees two-theta, in order of falling intensity:
2theta, d/Å, I (rel.)
30.7, 2.909, 100.0
26.5, 3.365, 40.7
29.9, 2.989, 38.5
43.4, 2.085, 27.0
38.1, 2.362, 25.9
59.1, 1.563, 25.4
29.7, 3.006, 23.8
15.3, 5.788, 22.5
37.5, 2.397, 19.3
48.7, 1.870, 16.0

The following is a computed XRD peak list of SrAc4Mg. It was derived from the PBE geometry in Alexandria, using Cu Kα (weighted mean of Kα1 and Kα2).
No peak broadening, texture or thermal motion is included.

Crystal structure
Unit cell a=4.041 b=4.041 c=15.837 alpha=90.00 beta=90.00 gamma=90.00
Atoms (fractional coordinates):
Sr: 0.000 0.000 0.000
Ac: 0.000 0.000 0.363
Ac: 0.000 0.000 0.637
Ac: 0.500 0.500 0.192
Ac: 0.500 0.500 0.808
Mg: 0.500 0.500 0.500

Principal peaks in the range 5 to 70 degrees two-theta, in order of falling intensity:
2theta, d/Å, I (rel.)
27.8, 3.209, 100.0
31.3, 2.857, 47.3
53.6, 1.710, 33.4
22.7, 3.915, 22.8
11.2, 7.919, 19.0
42.6, 2.122, 18.4
24.7, 3.599, 18.1
51.4, 1.778, 18.0
44.9, 2.020, 17.9
31.6, 2.828, 15.2

The following is a computed XRD peak list of SrAc5Mg4. It was derived from the PBE geometry in Alexandria, using Cu Kα (weighted mean of Kα1 and Kα2).
No peak broadening, texture or thermal motion is included.

Crystal structure
Unit cell a=4.125 b=4.125 c=22.257 alpha=90.00 beta=90.00 gamma=90.00
Atoms (fractional coordinates):
Sr: 0.000 0.000 0.000
Ac: 0.500 0.500 0.134
Ac: 0.500 0.500 0.315
Ac: 0.500 0.500 0.500
Ac: 0.500 0.500 0.685
Ac: 0.500 0.500 0.866
Mg: 0.000 0.000 0.225
Mg: 0.000 0.000 0.407
Mg: 0.000 0.000 0.593
Mg: 0.000 0.000 0.775

Principal peaks in the range 5 to 70 degrees two-theta, in order of falling intensity:
2theta, d/Å, I (rel.)
29.5, 3.026, 100.0
21.5, 4.125, 87.9
30.7, 2.917, 76.1
32.5, 2.758, 38.3
53.8, 1.704, 38.3
50.2, 1.817, 29.1
43.9, 2.063, 28.9
19.9, 4.451, 26.5
39.3, 2.293, 24.5
36.8, 2.440, 23.6

The following is a computed XRD peak list of SrAcMgZn. It was derived from the PBE geometry in Alexandria, using Cu Kα (weighted mean of Kα1 and Kα2).
No peak broadening, texture or thermal motion is included.

Crystal structure
Unit cell a=4.004 b=4.004 c=8.186 alpha=90.00 beta=90.00 gamma=90.00
Atoms (fractional coordinates):
Sr: 0.000 0.000 0.000
Ac: 0.000 0.000 0.463
Mg: 0.500 0.500 0.728
Zn: 0.500 0.500 0.242

Principal peaks in the range 5 to 70 degrees two-theta, in order of falling intensity:
2theta, d/Å, I (rel.)
31.3, 2.862, 100.0
31.6, 2.831, 50.7
10.8, 8.186, 43.7
56.1, 1.641, 38.3
22.2, 4.004, 32.3
45.3, 2.002, 18.8
24.8, 3.597, 17.5
55.4, 1.659, 17.4
21.7, 4.093, 16.3
38.7, 2.329, 15.4

The following is a computed XRD peak list of Ac3TbMg2. It was derived from the PBE geometry in Alexandria, using Cu Kα (weighted mean of Kα1 and Kα2).
No peak broadening, texture or thermal motion is included.

Crystal structure
Unit cell a=4.058 b=4.058 c=13.200 alpha=90.00 beta=90.00 gamma=90.00
Atoms (fractional coordinates):
Ac: 0.000 0.000 0.000
Ac: 0.000 0.000 0.315
Ac: 0.000 0.000 0.685
Tb: 0.500 0.500 0.500
Mg: 0.500 0.500 0.160
Mg: 0.500 0.500 0.840

Principal peaks in the range 5 to 70 degrees two-theta, in order of falling intensity:
2theta, d/Å, I (rel.)
30.0, 2.983, 100.0
31.2, 2.870, 47.9
54.7, 1.678, 37.9
21.9, 4.058, 30.2
44.7, 2.029, 18.1
52.4, 1.746, 17.9
20.2, 4.400, 16.3
37.4, 2.404, 14.3
62.2, 1.492, 10.7
25.8, 3.457, 9.5

The following is a computed XRD peak list of Ac8Tb2Mg. It was derived from the PBE geometry in Alexandria, using Cu Kα (weighted mean of Kα1 and Kα2).
No peak broadening, texture or thermal motion is included.

Crystal structure
Unit cell a=9.962 b=9.962 c=9.962 alpha=146.15 beta=121.69 gamma=69.16
Atoms (fractional coordinates):
Ac: 0.126 0.343 0.784
Ac: 0.145 0.145 0.000
Ac: 0.314 0.000 0.314
Ac: 0.441 0.657 0.784
Ac: 0.559 0.343 0.216
Ac: 0.686 0.000 0.686
Ac: 0.855 0.855 0.000
Ac: 0.874 0.657 0.216
Tb: 0.299 0.799 0.500
Tb: 0.701 0.201 0.500
Mg: 0.000 0.500 0.500

Principal peaks in the range 5 to 70 degrees two-theta, in order of falling intensity:
2theta, d/Å, I (rel.)
29.0, 3.077, 100.0
28.2, 3.169, 36.9
30.8, 2.900, 30.1
53.7, 1.706, 18.6
32.8, 2.734, 17.1
45.6, 1.989, 13.3
33.5, 2.672, 12.1
22.3, 3.979, 11.7
54.6, 1.679, 11.7
58.1, 1.588, 11.6